Record 1
For MnPO4, the PBE+U geometry in the Materials Project gives the calculated X-ray diffraction stick pattern in this record (Cu Kα (λ = 1.5418 Å)).
Kinematic intensities with the Lorentz-polarization factor, no thermal factor.

Atomic structure:
```
MnPO4
1.0
5.786 0.000 0.000
0.000 7.419 0.000
-4.518 0.000 8.045
Mn P O
4 4 16
Direct
0.179 0.186 0.054
0.179 0.314 0.554
0.821 0.686 0.446
0.821 0.814 0.946
0.193 0.535 0.268
0.193 0.965 0.768
0.807 0.035 0.232
0.807 0.465 0.732
0.018 0.126 0.389
0.018 0.374 0.889
0.070 0.510 0.390
0.070 0.990 0.890
0.257 0.157 0.735
0.257 0.343 0.235
0.444 0.648 0.361
0.444 0.852 0.861
0.556 0.148 0.139
0.556 0.352 0.639
0.743 0.657 0.765
0.743 0.843 0.265
0.930 0.010 0.110
0.930 0.490 0.610
0.982 0.626 0.111
0.982 0.874 0.611
```

Most intense lines, 2θ from 15° to 90°, low angle first:
d/Å	Rel. int.
5.454	88
5.045	83
4.528	51
4.172	100
3.753	45
3.536	40
3.368	30
3.210	39
2.838	40
2.823	42
2.667	43
1.927	30

***

Record 2
For Mn3P4O14, the PBE+U geometry in the Materials Project gives the calculated X-ray diffraction stick pattern in this record (Cu Kα (λ = 1.5418 Å)).
Kinematic intensities with the Lorentz-polarization factor, no thermal factor.

Atomic structure:
```
Mn3P4O14
1.0
7.971 0.000 0.000
-2.746 7.892 0.000
-0.954 -3.576 9.393
Mn P O
6 8 28
Direct
0.000 0.000 0.000
0.058 0.337 0.526
0.119 0.674 0.052
0.498 0.999 0.499
0.559 0.337 0.025
0.618 0.674 0.551
0.049 0.262 0.823
0.068 0.410 0.228
0.167 0.030 0.324
0.450 0.644 0.227
0.549 0.263 0.323
0.568 0.411 0.728
0.668 0.029 0.825
0.949 0.645 0.727
0.030 0.761 0.890
0.032 0.107 0.388
0.048 0.220 0.663
0.068 0.452 0.387
0.085 0.567 0.663
0.087 0.916 0.160
0.126 0.147 0.883
0.138 0.464 0.908
0.231 0.919 0.395
0.281 0.466 0.217
0.336 0.208 0.334
0.386 0.755 0.156
0.480 0.210 0.643
0.491 0.526 0.668
0.530 0.758 0.391
0.533 0.107 0.888
0.548 0.222 0.164
0.569 0.453 0.888
0.585 0.566 0.163
0.588 0.913 0.661
0.628 0.150 0.384
0.637 0.466 0.409
0.734 0.920 0.897
0.782 0.467 0.718
0.835 0.207 0.833
0.884 0.754 0.654
0.981 0.208 0.142
0.989 0.523 0.167
```

Most intense lines, 2θ from 15° to 90°, low angle first:
d/Å	Rel. int.
4.683	77
3.934	11
3.675	100
3.566	12
3.445	24
3.336	45
3.113	15
2.847	47
2.701	26
2.659	16
2.616	12
2.188	13